1.
Structure and simulated powder diffraction line list of BaIn2BiSb (the GGA-PBE geometry in Alexandria; λ = 1.5418 Å (Cu Kα)).

Top 6 peaks for 10 to 90 degrees two-theta, in order of rising 2θ:
d = 7.618 Å, rel. 590
d = 3.809 Å, rel. 577
d = 3.629 Å, rel. 850
d = 3.175 Å, rel. 469
d = 2.627 Å, rel. 1000
d = 2.128 Å, rel. 499

Structural model:
```
data_BaIn2BiSb
_chemical_formula_sum 'Ba4 In8 Bi4 Sb4'
_symmetry_space_group_name_H-M 'I 4 c m'
_symmetry_Int_Tables_number 108
_symmetry_space_group_name_Hall 'I 4 -2c'
_cell_length_a 7.258
_cell_length_b 7.258
_cell_length_c 15.236
_cell_angle_alpha 90.00
_cell_angle_beta 90.00
_cell_angle_gamma 90.00
loop_
_atom_site_label
_atom_site_fract_x
_atom_site_fract_y
_atom_site_fract_z
Ba1 0.000 0.000 0.000
In1 0.143 0.357 0.180
Bi1 0.000 0.000 0.256
Sb1 0.000 0.500 0.009
```

---

2.
Structure and simulated powder diffraction line list of Ba3In6SnBi2 (the GGA-PBE geometry in Alexandria; λ = 1.5418 Å (Cu Kα)).

Top 6 peaks for 10 to 90 degrees two-theta, in order of rising 2θ:
d = 4.051 Å, rel. 364
d = 3.139 Å, rel. 334
d = 2.789 Å, rel. 1000
d = 2.652 Å, rel. 782
d = 2.482 Å, rel. 313
d = 1.624 Å, rel. 276

Structural model:
```
data_Ba3In6SnBi2
_chemical_formula_sum 'Ba3 In6 Sn1 Bi2'
_symmetry_space_group_name_H-M 'P -3 m 1'
_symmetry_Int_Tables_number 164
_symmetry_space_group_name_Hall '-P 3 2"'
_cell_length_a 6.2787
_cell_length_b 6.2787
_cell_length_c 12.1508
_cell_angle_alpha 90.00
_cell_angle_beta 90.00
_cell_angle_gamma 120.00
loop_
_atom_site_label
_atom_site_fract_x
_atom_site_fract_y
_atom_site_fract_z
Ba1 0.0000 0.0000 0.0000
Ba2 0.3333 0.6667 0.5577
In1 0.1680 0.3360 0.2746
Sn1 0.0000 0.0000 0.5000
Bi1 0.3333 0.6667 0.0547
```

---

3.
Structure and simulated powder diffraction line list of Ba3Tl5In2Bi2 (the GGA-PBE geometry in Alexandria; λ = 1.5418 Å (Cu Kα)).

Top 6 peaks for 10 to 90 degrees two-theta, in order of rising 2θ:
d = 3.484 Å, rel. 314
d = 3.281 Å, rel. 234
d = 3.011 Å, rel. 1000
d = 2.724 Å, rel. 253
d = 2.517 Å, rel. 586
d = 1.532 Å, rel. 239

Structural model:
```
data_Ba3Tl5In2Bi2
_chemical_formula_sum 'Ba6 Tl10 In4 Bi4'
_symmetry_space_group_name_H-M 'I 4/m m m'
_symmetry_Int_Tables_number 139
_symmetry_space_group_name_Hall '-I 4 2'
_cell_length_a 5.035
_cell_length_b 5.035
_cell_length_c 33.833
_cell_angle_alpha 90.00
_cell_angle_beta 90.00
_cell_angle_gamma 90.00
loop_
_atom_site_label
_atom_site_fract_x
_atom_site_fract_y
_atom_site_fract_z
Ba1 0.000 0.000 0.000
Ba2 0.000 0.000 0.178
Tl1 0.000 0.000 0.500
Tl2 0.000 0.500 0.078
In1 0.000 0.000 0.366
Bi1 0.000 0.000 0.282
```

---

4.
Structure and simulated powder diffraction line list of Ba2YIn2Bi4 (the GGA-PBE geometry in Alexandria; λ = 1.5418 Å (Cu Kα)).

Top 6 peaks for 10 to 90 degrees two-theta, in order of rising 2θ:
d = 3.617 Å, rel. 476
d = 3.097 Å, rel. 408
d = 3.021 Å, rel. 1000
d = 2.983 Å, rel. 643
d = 2.948 Å, rel. 400
d = 2.417 Å, rel. 434

Structural model:
```
data_Ba2YIn2Bi4
_chemical_formula_sum 'Ba4 Y2 In4 Bi8'
_symmetry_space_group_name_H-M 'C 1 2/m 1'
_symmetry_Int_Tables_number 12
_symmetry_space_group_name_Hall '-C 2y'
_cell_length_a 17.689
_cell_length_b 4.834
_cell_length_c 8.170
_cell_angle_alpha 90.00
_cell_angle_beta 112.36
_cell_angle_gamma 90.00
loop_
_atom_site_label
_atom_site_fract_x
_atom_site_fract_y
_atom_site_fract_z
Ba1 0.131 0.000 0.111
Y1 0.000 0.000 0.500
In1 0.163 0.500 0.474
Bi1 0.016 0.500 0.773
Bi2 0.197 0.000 0.718
```

---

5.
Structure and simulated powder diffraction line list of BaBi2IrO8 (the GGA-PBE geometry in Alexandria; λ = 1.5418 Å (Cu Kα)).

Top 6 peaks for 10 to 90 degrees two-theta, in order of rising 2θ:
d = 3.841 Å, rel. 1000
d = 3.421 Å, rel. 910
d = 3.272 Å, rel. 729
d = 2.976 Å, rel. 509
d = 2.783 Å, rel. 971
d = 2.403 Å, rel. 280

Structural model:
```
data_BaBi2IrO8
_chemical_formula_sum 'Ba1 Bi2 Ir1 O8'
_symmetry_space_group_name_H-M 'P -1'
_symmetry_Int_Tables_number 2
_symmetry_space_group_name_Hall '-P 1'
_cell_length_a 4.859
_cell_length_b 5.613
_cell_length_c 7.311
_cell_angle_alpha 79.39
_cell_angle_beta 84.66
_cell_angle_gamma 82.49
loop_
_atom_site_label
_atom_site_fract_x
_atom_site_fract_y
_atom_site_fract_z
Ba1 0.000 0.000 0.000
Bi1 0.454 0.441 0.244
Ir1 0.000 0.000 0.500
O1 0.111 0.734 0.714
O2 0.204 0.821 0.325
O3 0.306 0.162 0.514
O4 0.425 0.278 0.998
```

---

6.
Structure and simulated powder diffraction line list of K2Ba2LiBi4 (the GGA-PBE geometry in Alexandria; λ = 1.5418 Å (Cu Kα)).

Top 6 peaks for 10 to 90 degrees two-theta, in order of rising 2θ:
d = 5.224 Å, rel. 144
d = 3.140 Å, rel. 1000
d = 2.778 Å, rel. 374
d = 2.612 Å, rel. 151
d = 1.903 Å, rel. 239
d = 1.666 Å, rel. 319

Structural model:
```
data_K2Ba2LiBi4
_chemical_formula_sum 'K4 Ba4 Li2 Bi8'
_symmetry_space_group_name_H-M 'I 4/m m m'
_symmetry_Int_Tables_number 139
_symmetry_space_group_name_Hall '-I 4 2'
_cell_length_a 7.859
_cell_length_b 7.859
_cell_length_c 10.449
_cell_angle_alpha 90.00
_cell_angle_beta 90.00
_cell_angle_gamma 90.00
loop_
_atom_site_label
_atom_site_fract_x
_atom_site_fract_y
_atom_site_fract_z
K1 0.000 0.000 0.216
Ba1 0.000 0.500 0.250
Li1 0.000 0.000 0.500
Bi1 0.249 0.249 0.000
```

---

7.
Structure and simulated powder diffraction line list of KBa2Bi2O7 (the GGA-PBE geometry in Alexandria; λ = 1.5418 Å (Cu Kα)).

Top 6 peaks for 10 to 90 degrees two-theta, in order of rising 2θ:
d = 3.119 Å, rel. 1000
d = 3.087 Å, rel. 554
d = 2.183 Å, rel. 297
d = 1.807 Å, rel. 223
d = 1.788 Å, rel. 418
d = 1.559 Å, rel. 178

Structural model:
```
data_KBa2Bi2O7
_chemical_formula_sum 'K2 Ba4 Bi4 O14'
_symmetry_space_group_name_H-M 'I 4 m m'
_symmetry_Int_Tables_number 107
_symmetry_space_group_name_Hall 'I 4 -2'
_cell_length_a 4.366
_cell_length_b 4.366
_cell_length_c 22.283
_cell_angle_alpha 90.00
_cell_angle_beta 90.00
_cell_angle_gamma 90.00
loop_
_atom_site_label
_atom_site_fract_x
_atom_site_fract_y
_atom_site_fract_z
K1 0.000 0.000 0.000
Ba1 0.000 0.000 0.624
Ba2 0.000 0.000 0.818
Bi1 0.000 0.000 0.215
Bi2 0.000 0.000 0.416
O1 0.000 0.000 0.120
O2 0.000 0.000 0.312
O3 0.000 0.000 0.510
O4 0.000 0.500 0.215
O5 0.000 0.500 0.403
```

---

8.
Structure and simulated powder diffraction line list of KBa3Bi4O12 (the GGA-PBE geometry in Alexandria; λ = 1.5418 Å (Cu Kα)).

Top 6 peaks for 10 to 90 degrees two-theta, in order of rising 2θ:
d = 4.378 Å, rel. 196
d = 3.112 Å, rel. 196
d = 3.093 Å, rel. 1000
d = 2.192 Å, rel. 224
d = 1.793 Å, rel. 179
d = 1.785 Å, rel. 257

Structural model:
```
data_KBa3Bi4O12
_chemical_formula_sum 'K1 Ba3 Bi4 O12'
_symmetry_space_group_name_H-M 'P m m 2'
_symmetry_Int_Tables_number 25
_symmetry_space_group_name_Hall 'P 2 -2'
_cell_length_a 6.177
_cell_length_b 8.732
_cell_length_c 6.224
_cell_angle_alpha 90.00
_cell_angle_beta 90.00
_cell_angle_gamma 90.00
loop_
_atom_site_label
_atom_site_fract_x
_atom_site_fract_y
_atom_site_fract_z
K1 0.000 0.000 0.000
Ba1 0.000 0.500 0.987
Ba2 0.500 0.000 0.486
Ba3 0.500 0.500 0.487
Bi1 0.000 0.248 0.492
Bi2 0.500 0.248 0.990
O1 0.000 0.000 0.549
O2 0.000 0.500 0.432
O3 0.250 0.288 0.737
O4 0.257 0.228 0.253
O5 0.500 0.000 0.931
O6 0.500 0.500 0.041
```